Diffraction record for Sm2Fe2Se2O3. The powder XRD pattern is theoretical, not measured: it uses a PBE+U-relaxed structure and Cu Kα.

Principal peaks in the range 2θ = 10–80°, by angle:
d_spacing	2θ/deg	I/Imax
3.407	26.2	34
2.873	31.1	27
2.757	32.5	100
2.747	32.6	26
2.032	44.6	38
1.636	56.2	41

```
Sm2Fe2Se2O3
1.0
-2.0317 2.0317 9.3820
2.0317 -2.0317 9.3820
2.0317 2.0317 -9.3820
Sm Fe Se O
2 2 2 3
direct
0.1897 0.1897 0.0000
0.8103 0.8103 0.0000
0.0000 0.5000 0.5000
0.5000 0.0000 0.5000
0.3994 0.3994 0.0000
0.6006 0.6006 0.0000
0.0000 0.0000 0.0000
0.2500 0.7500 0.5000
0.7500 0.2500 0.5000
```